# AcPmPrDy
Simulated XRD peak list, Cu Kα, 1.54184 Å. Input: DFT lattice parameters and positions (PBE).
Lines closer than 0.1° are merged.

Cell and atoms:
```
data_AcPmPrDy
_chemical_formula_sum 'Ac1 Pm1 Pr1 Dy1'
_space_group_name_H-M_alt 'P 1'
_space_group_IT_number 1
_space_group_name_Hall 'P 1'
_cell_length_a 6.4669
_cell_length_b 6.4669
_cell_length_c 6.4669
_cell_angle_alpha 131.94
_cell_angle_beta 131.94
_cell_angle_gamma 70.32
loop_
_atom_site_label
_atom_site_type_symbol
_atom_site_fract_x
_atom_site_fract_y
_atom_site_fract_z
Ac1 Ac 0.0000 0.0000 0.0000
Pm1 Pm 0.2500 0.7500 0.5000
Pr1 Pr 0.7500 0.2500 0.5000
Dy1 Dy 0.5000 0.5000 0.0000
```

Main lines, sorted by position (10° ≤ 2θ ≤ 80°):
| 2θ/deg | I_rel |
| --- | --- |
| 18.82 | 2 |
| 29.33 | 100 |
| 33.91 | 17 |
| 34.04 | 34 |
| 48.85 | 37 |
| 57.89 | 15 |
| 58.06 | 30 |
| 60.85 | 13 |
| 71.36 | 2 |
| 71.67 | 4 |
| 79.12 | 12 |
| 79.27 | 6 |